Computed X-ray diffraction stick pattern of Y2Fe3N4 for λ = 1.5418 Å (Cu Kα), from a DFT-relaxed cell (GGA-PBE, the Materials Project).
No peak broadening, texture or thermal motion is included.

```
data_Y2Fe3N4
_cell_length_a 9.6550
_cell_length_b 7.3848
_cell_length_c 6.4447
_cell_angle_alpha 90.00
_cell_angle_beta 106.78
_cell_angle_gamma 90.00
_symmetry_space_group_name_H-M 'C 1 2/c 1'
_symmetry_Int_Tables_number 15
loop_
_symmetry_equiv_pos_as_xyz
'x,y,z'
'-x,-y,-z'
'-x,y,-z+1/2'
'x,-y,z+1/2'
'x+1/2,y+1/2,z'
'-x+1/2,-y+1/2,-z'
'-x+1/2,y+1/2,-z+1/2'
'x+1/2,-y+1/2,z+1/2'
loop_
_atom_site_label
_atom_site_type_symbol
_atom_site_fract_x
_atom_site_fract_y
_atom_site_fract_z
_atom_site_occupancy
Y1 Y 0.1981 0.1050 0.2269 1
Fe1 Fe 0.0000 0.2479 0.7500 1
Fe2 Fe 0.0332 0.3754 0.4255 1
N1 N 0.1095 0.1676 0.5580 1
N2 N 0.1346 0.4073 0.9886 1
```

Peak list (10 most intense, 5° ≤ 2θ ≤ 70°, in order of rising 2θ)
(hkl)	two_theta	intensity
0 2 1	28.2	42
2 0 -2	29.8	34
3 1 0	31.5	76
2 2 -1	31.8	100
1 1 2	35.4	48
2 2 1	36.7	52
3 1 1	38.2	47
1 3 1	41.7	35
0 2 3	50.8	52
5 3 -1	61.0	38